(1)
BaEuTi4O12: simulated PXRD pattern (Cu Kα (λ = 1.5418 Å)), based on a cell relaxed with PBE.
Lines closer than 0.1° are merged.

Principal peaks in the range 10° ≤ 2θ ≤ 90°, in order of rising 2θ:
18.6°, d 4.774, intensity 100
30.6°, d 2.923, intensity 92
36.0°, d 2.493, intensity 58
43.8°, d 2.067, intensity 44
48.0°, d 1.897, intensity 25
54.4°, d 1.688, intensity 36
58.0°, d 1.591, intensity 19
63.7°, d 1.462, intensity 25
67.0°, d 1.398, intensity 19
88.5°, d 1.105, intensity 19

Cell and atoms:
```
18
Lattice="5.8474 0.0000 0.0000 0.0000 5.8474 0.0000 0.0000 0.0000 8.2671" Properties=species:S:1:pos:R:3 pbc="T T T"
Ba 0.0000 0.0000 0.0000
Eu 2.9237 2.9237 4.1336
Ti 0.0000 2.9237 2.0556
Ti 0.0000 2.9237 6.2115
Ti 2.9237 0.0000 2.0556
Ti 2.9237 0.0000 6.2115
O 0.0000 2.9237 0.0000
O 0.0000 2.9237 4.1336
O 1.4821 1.4821 2.0978
O 1.4821 1.4821 6.1693
O 1.4821 4.3653 2.0978
O 1.4821 4.3653 6.1693
O 2.9237 0.0000 0.0000
O 2.9237 0.0000 4.1336
O 4.3653 1.4821 2.0978
O 4.3653 1.4821 6.1693
O 4.3653 4.3653 2.0978
O 4.3653 4.3653 6.1693
```

---

(2)
BaEu2ZnO5: simulated PXRD pattern (Cu Kα (λ = 1.5418 Å)), based on a cell relaxed with PBE.
Lines closer than 0.1° are merged.

Principal peaks in the range 10° ≤ 2θ ≤ 90°, in order of rising 2θ:
28.8°, d 3.102, intensity 100
29.7°, d 3.009, intensity 82
30.6°, d 2.921, intensity 53
30.7°, d 2.909, intensity 23
32.1°, d 2.786, intensity 20
40.1°, d 2.246, intensity 17
43.9°, d 2.061, intensity 33
53.3°, d 1.719, intensity 18
53.8°, d 1.703, intensity 16
57.2°, d 1.611, intensity 16

Cell and atoms:
```
36
Lattice="12.6868 0.0000 0.0000 0.0000 5.8428 0.0000 0.0000 0.0000 7.3041" Properties=species:S:1:pos:R:3 pbc="T T T"
Ba 1.2607 1.4607 0.5573
Ba 5.0827 4.3821 4.2093
Ba 7.6041 1.4607 3.0948
Ba 11.4261 4.3821 6.7468
Eu 0.9170 4.3821 2.8817
Eu 2.6659 1.4607 4.5119
Eu 3.6774 4.3821 0.8598
Eu 5.4264 1.4607 6.5338
Eu 7.2604 4.3821 0.7703
Eu 9.0093 1.4607 6.4443
Eu 10.0208 4.3821 2.7923
Eu 11.7697 1.4607 4.4224
Zn 1.9036 4.3821 5.8844
Zn 4.4398 1.4607 2.2324
Zn 8.2470 4.3821 5.0718
Zn 10.7832 1.4607 1.4197
O 0.8124 2.9664 4.9061
O 0.8124 5.7979 4.9061
O 1.2500 4.3821 0.4848
O 2.8691 0.0306 2.5798
O 2.8691 2.8909 2.5798
O 3.4742 2.9520 6.2319
O 3.4742 5.8123 6.2319
O 5.0934 1.4607 4.1369
O 5.5310 0.0449 1.2540
O 5.5310 2.8765 1.2540
O 7.1558 2.9664 6.0501
O 7.1558 5.7979 6.0501
O 7.5934 4.3821 3.1672
O 9.2125 0.0306 1.0722
O 9.2125 2.8909 1.0722
O 9.8176 2.9520 4.7243
O 9.8176 5.8123 4.7243
O 11.4368 1.4607 6.8193
O 11.8744 0.0449 2.3981
O 11.8744 2.8765 2.3981
```

---

(3)
BaEuZr2O6: simulated PXRD pattern (Cu Kα (λ = 1.5418 Å)), based on a cell relaxed with PBE.
Lines closer than 0.1° are merged.

Principal peaks in the range 10° ≤ 2θ ≤ 90°, in order of rising 2θ:
21.0°, d 4.226, intensity 2
29.9°, d 2.988, intensity 100
36.8°, d 2.440, intensity 8
42.8°, d 2.113, intensity 31
53.1°, d 1.725, intensity 40
62.1°, d 1.494, intensity 19
70.5°, d 1.336, intensity 17
74.5°, d 1.274, intensity 2
78.4°, d 1.220, intensity 6
86.1°, d 1.129, intensity 21

Cell and atoms:
```
40
Lattice="8.4550 0.0000 0.0000 0.0000 8.4550 0.0000 0.0000 0.0000 8.4465" Properties=species:S:1:pos:R:3 pbc="T T T"
Ba 0.0000 0.0000 0.0000
Ba 0.0000 4.2275 0.0000
Ba 4.2275 0.0000 0.0000
Ba 4.2275 4.2275 4.2232
Eu 0.0000 0.0000 4.2232
Eu 0.0000 4.2275 4.2232
Eu 4.2275 0.0000 4.2232
Eu 4.2275 4.2275 0.0000
Zr 2.1159 2.1159 2.1247
Zr 2.1159 2.1159 6.3218
Zr 2.1159 6.3391 2.1247
Zr 2.1159 6.3391 6.3218
Zr 6.3391 2.1159 2.1247
Zr 6.3391 2.1159 6.3218
Zr 6.3391 6.3391 2.1247
Zr 6.3391 6.3391 6.3218
O 0.0000 2.1088 2.1421
O 0.0000 2.1088 6.3044
O 0.0000 6.3462 2.1421
O 0.0000 6.3462 6.3044
O 2.0928 2.0928 4.2232
O 2.0928 6.3623 4.2232
O 2.1088 0.0000 2.1421
O 2.1088 0.0000 6.3044
O 2.1101 4.2275 2.1250
O 2.1101 4.2275 6.3214
O 2.1283 2.1283 0.0000
O 2.1283 6.3267 0.0000
O 4.2275 2.1101 2.1250
O 4.2275 2.1101 6.3214
O 4.2275 6.3449 2.1250
O 4.2275 6.3449 6.3214
O 6.3267 2.1283 0.0000
O 6.3267 6.3267 0.0000
O 6.3449 4.2275 2.1250
O 6.3449 4.2275 6.3214
O 6.3462 0.0000 2.1421
O 6.3462 0.0000 6.3044
O 6.3623 2.0928 4.2232
O 6.3623 6.3623 4.2232
```

---

(4)
BaEuZr2O6: simulated PXRD pattern (Cu Kα (λ = 1.5418 Å)), based on a cell relaxed with PBE.
Lines closer than 0.1° are merged.

Principal peaks in the range 10° ≤ 2θ ≤ 90°, in order of rising 2θ:
21.0°, d 4.221, intensity 2
29.9°, d 2.985, intensity 100
36.9°, d 2.437, intensity 8
42.8°, d 2.111, intensity 31
53.1°, d 1.723, intensity 40
62.2°, d 1.492, intensity 19
70.6°, d 1.335, intensity 17
74.6°, d 1.273, intensity 2
78.5°, d 1.219, intensity 6
86.2°, d 1.128, intensity 21

Cell and atoms:
```
40
Lattice="8.4418 0.0000 0.0000 0.0000 8.4418 0.0000 0.0000 0.0000 8.4443" Properties=species:S:1:pos:R:3 pbc="T T T"
Ba 0.0000 0.0000 0.0000
Ba 0.0000 0.0000 4.2221
Ba 0.0000 4.2209 0.0000
Ba 4.2209 0.0000 4.2221
Eu 0.0000 4.2209 4.2221
Eu 4.2209 0.0000 0.0000
Eu 4.2209 4.2209 0.0000
Eu 4.2209 4.2209 4.2221
Zr 2.1253 2.1253 2.1111
Zr 2.1253 2.1253 6.3332
Zr 2.1253 6.3165 2.1111
Zr 2.1253 6.3165 6.3332
Zr 6.3165 2.1253 2.1111
Zr 6.3165 2.1253 6.3332
Zr 6.3165 6.3165 2.1111
Zr 6.3165 6.3165 6.3332
O 0.0000 2.1438 2.1347
O 0.0000 2.1438 6.3096
O 0.0000 6.2980 2.1347
O 0.0000 6.2980 6.3096
O 2.1208 2.1661 4.2221
O 2.1208 6.2758 4.2221
O 2.1438 0.0000 2.0874
O 2.1438 0.0000 6.3568
O 2.1432 4.2209 2.1328
O 2.1432 4.2209 6.3115
O 2.1661 2.1208 0.0000
O 2.1661 6.3210 0.0000
O 4.2209 2.1432 2.0893
O 4.2209 2.1432 6.3550
O 4.2209 6.2987 2.0893
O 4.2209 6.2987 6.3550
O 6.2758 2.1208 0.0000
O 6.2758 6.3210 0.0000
O 6.2980 0.0000 2.0874
O 6.2980 0.0000 6.3568
O 6.2987 4.2209 2.1328
O 6.2987 4.2209 6.3115
O 6.3210 2.1661 4.2221
O 6.3210 6.2758 4.2221
```

---

(5)
BaEuZr2O6: simulated PXRD pattern (Cu Kα (λ = 1.5418 Å)), based on a cell relaxed with PBE.
Lines closer than 0.1° are merged.

Principal peaks in the range 10° ≤ 2θ ≤ 90°, in order of rising 2θ:
21.0°, d 4.223, intensity 2
29.9°, d 2.986, intensity 100
36.9°, d 2.438, intensity 8
42.8°, d 2.112, intensity 31
53.1°, d 1.724, intensity 40
62.2°, d 1.493, intensity 19
70.5°, d 1.336, intensity 17
74.5°, d 1.273, intensity 2
78.4°, d 1.219, intensity 6
86.2°, d 1.129, intensity 21

Cell and atoms:
```
10
Lattice="4.2234 0.0000 0.0000 0.0000 4.2234 0.0000 0.0000 0.0000 8.4466" Properties=species:S:1:pos:R:3 pbc="T T T"
Ba 0.0000 0.0000 0.0000
Eu 0.0000 0.0000 4.2233
Zr 2.1117 2.1117 2.1422
Zr 2.1117 2.1117 6.3044
O 0.0000 2.1117 2.1754
O 0.0000 2.1117 6.2712
O 2.1117 0.0000 2.1754
O 2.1117 0.0000 6.2712
O 2.1117 2.1117 0.0000
O 2.1117 2.1117 4.2233
```

---

(6)
BaSrEu2: simulated PXRD pattern (Cu Kα (λ = 1.5418 Å)), based on a cell relaxed with PBE.
Lines closer than 0.1° are merged.

Principal peaks in the range 10° ≤ 2θ ≤ 90°, in order of rising 2θ:
19.1°, d 4.657, intensity 3
27.1°, d 3.293, intensity 100
38.7°, d 2.329, intensity 19
47.8°, d 1.901, intensity 42
55.8°, d 1.647, intensity 13
63.1°, d 1.473, intensity 18
70.0°, d 1.344, intensity 5
76.5°, d 1.245, intensity 21
82.9°, d 1.164, intensity 2
89.2°, d 1.098, intensity 11

Cell and atoms:
```
4
Lattice="0.0000 4.6571 4.6571 4.6571 0.0000 4.6571 4.6571 4.6571 0.0000" Properties=species:S:1:pos:R:3 pbc="T T T"
Ba 0.0000 0.0000 0.0000
Sr 4.6571 4.6571 4.6571
Eu 2.3285 2.3285 2.3285
Eu 6.9856 6.9856 6.9856
```

---

(7)
BaH6F8: simulated PXRD pattern (Cu Kα (λ = 1.5418 Å)), based on a cell relaxed with PBE.
Lines closer than 0.1° are merged.

Principal peaks in the range 10° ≤ 2θ ≤ 90°, in order of rising 2θ:
12.9°, d 6.840, intensity 91
13.9°, d 6.384, intensity 46
14.7°, d 6.029, intensity 51
22.5°, d 3.949, intensity 51
24.6°, d 3.614, intensity 71
26.5°, d 3.358, intensity 82
33.6°, d 2.666, intensity 48
37.6°, d 2.394, intensity 69
40.8°, d 2.209, intensity 100
42.1°, d 2.147, intensity 51

Cell and atoms:
```
60
Lattice="7.8977 0.0000 0.0000 -3.9489 6.8396 0.0000 0.0000 0.0000 12.7683" Properties=species:S:1:pos:R:3 pbc="T T T"
Ba 0.0000 4.5598 0.8052
Ba 0.0000 4.5598 5.5790
Ba 3.9489 2.2799 7.1893
Ba 3.9489 2.2799 11.9631
H -3.2748 5.6721 0.0000
H -3.2748 5.6721 6.3841
H -2.5749 4.8504 3.1921
H -0.6500 2.6661 8.4912
H -0.6500 2.6661 10.6612
H 0.6741 1.1675 0.0000
H 0.6741 1.1675 6.3841
H -1.3149 6.0695 8.4912
H -1.3149 6.0695 10.6612
H 1.0358 2.1845 3.1921
H 1.3739 1.9892 9.5762
H 2.6339 0.7701 2.1071
H 2.6339 0.7701 4.2771
H 1.9650 4.9437 8.4912
H 1.9650 4.9437 10.6612
H 1.5392 6.6444 3.1921
H 5.4880 0.1953 9.5762
H 3.2988 4.1735 2.1071
H 3.2988 4.1735 4.2771
H 6.5496 0.0000 0.0000
H 6.5496 0.0000 6.3841
H 5.9138 1.8960 2.1071
H 5.9138 1.8960 4.2771
H 4.9846 4.6552 9.5762
F 0.0000 0.0000 0.0000
F 0.0000 0.0000 6.3841
F -2.7677 4.7939 0.0000
F -2.7677 4.7939 6.3841
F -1.2013 3.0109 7.7094
F -1.2013 3.0109 11.4430
F -2.0211 5.6756 9.5762
F -1.5757 5.0373 3.1921
F 0.0442 2.2515 9.5762
F 0.3743 2.9564 3.1921
F 1.1811 2.0458 0.0000
F 1.1811 2.0458 6.3841
F 1.9278 1.1640 3.1921
F -0.7407 6.3745 7.7094
F -0.7407 6.3745 11.4430
F 2.3732 1.8023 9.5762
F 3.2082 0.4651 1.3253
F 3.2082 0.4651 5.0588
F 1.9420 4.2938 7.7094
F 1.9420 4.2938 11.4430
F 1.2014 5.6856 3.1921
F 2.7476 3.8287 1.3253
F 2.7476 3.8287 5.0588
F 1.9769 5.7521 9.5762
F 5.5355 0.0000 0.0000
F 5.5355 0.0000 6.3841
F 5.1503 1.1541 9.5762
F 5.9258 1.0875 3.1921
F 4.3231 3.8832 9.5762
F 3.9930 4.5881 3.1921
F 5.8908 2.5458 1.3253
F 5.8908 2.5458 5.0588
```

---

(8)
Ba4P3HF24: simulated PXRD pattern (Cu Kα (λ = 1.5418 Å)), based on a cell relaxed with PBE.
Lines closer than 0.1° are merged.

Principal peaks in the range 10° ≤ 2θ ≤ 90°, in order of rising 2θ:
16.2°, d 5.486, intensity 37
22.4°, d 3.976, intensity 42
23.1°, d 3.849, intensity 100
24.4°, d 3.649, intensity 53
25.1°, d 3.549, intensity 28
25.5°, d 3.487, intensity 43
28.1°, d 3.176, intensity 37
38.1°, d 2.363, intensity 28
39.7°, d 2.269, intensity 30
43.8°, d 2.069, intensity 25

Cell and atoms:
```
32
Lattice="4.8035 0.0000 0.0000 1.7817 9.1312 0.0000 1.0340 4.4253 10.9723" Properties=species:S:1:pos:R:3 pbc="T T T"
Ba 0.9232 1.6156 2.6965
Ba 2.4879 6.2789 8.7066
Ba 5.1312 7.2776 2.2657
Ba 6.6959 11.9408 8.2757
P 2.5669 4.5333 4.8947
P 3.2926 4.5656 0.0000
P 5.0522 9.0232 6.0775
H 0.0000 0.0000 0.0000
F 1.2970 4.8572 3.8886
F 0.6414 0.9535 0.1165
F 1.9170 5.4995 6.0378
F 1.7210 3.2568 5.5008
F 2.7445 8.1668 2.4532
F 3.1277 9.3327 9.9053
F 2.5479 5.4639 1.1468
F 2.5109 3.6551 8.5915
F 2.4628 3.2382 0.4888
F 3.8022 9.3670 5.0958
F 3.3781 5.7880 4.2614
F 4.4333 10.0223 7.2376
F 3.1858 3.5341 3.7347
F 4.2410 7.7685 6.7109
F 3.8169 4.1895 5.8765
F 5.1563 10.3183 10.4835
F 5.1082 9.9014 2.3808
F 5.0713 8.0926 9.8255
F 4.4914 4.2238 1.0670
F 4.8747 5.3897 8.5191
F 5.8981 10.2997 5.4714
F 5.7021 8.0569 4.9345
F 6.9777 12.6030 10.8558
F 6.3222 8.6993 7.0836
```